# 1
For Ti4GaH2, DFT lattice parameters and positions (PBE) gives the computed powder XRD pattern in this record (Cu Kα (λ = 1.5418 Å)).
Neutral-atom scattering factors, no anomalous dispersion.

Structure:
a = 9.3398 Å, b = 12.9006 Å, c = 5.9816 Å
α = 90.00°, β = 90.00°, γ = 90.00°
Space group Fdd2 (No. 43)
Unique sites:
Ti: 0.0682 0.3021 0.0000 (multiplicity 16)
Ti: 0.0678 0.3978 0.5157 (multiplicity 16)
Ga: 0.0000 0.0000 0.3972 (multiplicity 8)
H: 0.1152 0.1575 0.9639 (multiplicity 16)

Principal peaks in the range 2θ = 10–90°, by intensity:
(1 5 1), 2θ 39.23, d = 2.296 Å, I 100; (3 3 1), 2θ 38.75, d = 2.324 Å, I 66; (2 0 2), 2θ 35.65, d = 2.519 Å, I 59; (2 2 2), 2θ 38.37, d = 2.346 Å, I 47; (4 2 0), 2θ 41.11, d = 2.196 Å, I 34; (3 1 1), 2θ 33.18, d = 2.700 Å, I 24; (1 1 1), 2θ 18.91, d = 4.692 Å, I 18; (1 1 3), 2θ 47.14, d = 1.928 Å, I 17; (2 4 2), 2θ 45.71, d = 1.985 Å, I 16; (0 2 2), 2θ 33.01, d = 2.713 Å, I 15

***

# 2
For LiCa2Ag2, DFT lattice parameters and positions (PBE) gives the computed powder XRD pattern in this record (Cu Kα (λ = 1.5418 Å)).
Neutral-atom scattering factors, no anomalous dispersion.

Structure:
a = 10.6928 Å, b = 5.9996 Å, c = 8.1081 Å
α = 90.00°, β = 103.68°, γ = 90.00°
Space group C2/c (No. 15)
Unique sites:
Li: 0.0000 0.1356 0.2500 (multiplicity 4)
Ca: 0.1489 0.3653 0.6484 (multiplicity 8)
Ag: 0.1313 0.1337 0.0016 (multiplicity 8)

Principal peaks in the range 2θ = 10–90°, by intensity:
(2 2 -1), 2θ 35.07, d = 2.559 Å, I 100; (1 1 -1), 2θ 19.32, d = 4.594 Å, I 77; (0 0 2), 2θ 22.57, d = 3.939 Å, I 72; (2 2 1), 2θ 37.72, d = 2.385 Å, I 66; (4 0 0), 2θ 34.53, d = 2.597 Å, I 53; (1 1 0), 2θ 17.07, d = 5.195 Å, I 42; (1 1 2), 2θ 30.05, d = 2.974 Å, I 42; (1 1 -3), 2θ 36.47, d = 2.464 Å, I 37; (4 0 -2), 2θ 36.66, d = 2.451 Å, I 35; (3 1 -2), 2θ 33.65, d = 2.664 Å, I 32

***

# 3
For Al6Fe5, DFT lattice parameters and positions (PBE) gives the computed powder XRD pattern in this record (Cu Kα (λ = 1.5418 Å)).
Neutral-atom scattering factors, no anomalous dispersion.

Structure:
a = 4.0189 Å, b = 5.9617 Å, c = 11.8825 Å
α = 90.00°, β = 90.00°, γ = 90.00°
Space group Immm (No. 71)
Unique sites:
Al: 0.0000 0.2102 0.0000 (multiplicity 4)
Al: 0.0000 0.2701 0.3342 (multiplicity 8)
Fe: 0.0000 0.0000 0.1775 (multiplicity 4)
Fe: 0.0000 0.0000 0.5000 (multiplicity 2)
Fe: 0.0000 0.5000 0.1459 (multiplicity 4)

Principal peaks in the range 2θ = 10–90°, by intensity:
(1 2 3), 2θ 44.20, d = 2.049 Å, I 100; (2 0 0), 2θ 45.12, d = 2.009 Å, I 26; (0 0 6), 2θ 45.82, d = 1.980 Å, I 20; (1 1 4), 2θ 40.69, d = 2.217 Å, I 16; (3 2 3), 2θ 82.64, d = 1.168 Å, I 14; (2 0 6), 2θ 66.26, d = 1.411 Å, I 12; (0 1 1), 2θ 16.64, d = 5.329 Å, I 12; (1 0 3), 2θ 31.72, d = 2.821 Å, I 10; (1 2 9), 2θ 83.64, d = 1.156 Å, I 9; (2 4 0), 2θ 80.19, d = 1.197 Å, I 9

***

# 4
For TmAl6S8, DFT lattice parameters and positions (PBE) gives the computed powder XRD pattern in this record (Cu Kα (λ = 1.5418 Å)).
Neutral-atom scattering factors, no anomalous dispersion.

Structure:
a = 9.7104 Å, b = 9.7104 Å, c = 10.7075 Å
α = 90.00°, β = 90.00°, γ = 120.00°
Space group R-3 (No. 148, hexagonal axes)
Unique sites:
Tm: 0.0000 0.0000 0.0000 (multiplicity 3)
Al: 0.0600 0.8476 0.6000 (multiplicity 18)
S: 0.0000 0.0000 0.2621 (multiplicity 6)
S: 0.0029 0.7119 0.0850 (multiplicity 18)

Principal peaks in the range 2θ = 10–90°, by intensity:
(3 -1 1), 2θ 29.31, d = 3.047 Å, I 100; (1 0 1), 2θ 13.39, d = 6.614 Å, I 90; (3 0 0), 2θ 31.93, d = 2.803 Å, I 89; (1 1 3), 2θ 31.10, d = 2.876 Å, I 88; (0 1 2), 2θ 19.66, d = 4.516 Å, I 69; (1 1 0), 2θ 18.27, d = 4.855 Å, I 66; (2 1 4), 2θ 44.24, d = 2.047 Å, I 54; (1 2 2), 2θ 32.77, d = 2.733 Å, I 51; (0 2 4), 2θ 39.92, d = 2.258 Å, I 46; (4 -2 3), 2θ 45.17, d = 2.007 Å, I 43

***

# 5
For Tb3Sm12Sc, DFT lattice parameters and positions (PBE) gives the computed powder XRD pattern in this record (Cu Kα (λ = 1.5418 Å)).
Neutral-atom scattering factors, no anomalous dispersion.

Structure:
a = 5.0853 Å, b = 5.0853 Å, c = 20.2867 Å
α = 90.00°, β = 90.00°, γ = 90.00°
Space group P4/mmm (No. 123)
Unique sites:
Tb: 0.0000 0.0000 0.0000 (multiplicity 1)
Tb: 0.0000 0.0000 0.2525 (multiplicity 2)
Sm: 0.0000 0.5000 0.1263 (multiplicity 4)
Sm: 0.0000 0.5000 0.3788 (multiplicity 4)
Sm: 0.5000 0.5000 0.0000 (multiplicity 1)
Sm: 0.5000 0.5000 0.2528 (multiplicity 2)
Sm: 0.5000 0.5000 0.5000 (multiplicity 1)
Sc: 0.0000 0.0000 0.5000 (multiplicity 1)

Principal peaks in the range 2θ = 10–90°, by intensity:
(1 1 4), 2θ 30.47, d = 2.933 Å, I 100; (2 0 0), 2θ 35.33, d = 2.540 Å, I 51; (2 2 0), 2θ 50.83, d = 1.796 Å, I 36; (3 1 4), 2θ 60.39, d = 1.533 Å, I 29; (1 1 12), 2θ 60.52, d = 1.530 Å, I 14; (2 2 8), 2θ 63.42, d = 1.467 Å, I 12; (3 1 12), 2θ 82.85, d = 1.165 Å, I 11; (4 2 0), 2θ 85.40, d = 1.137 Å, I 11; (3 3 4), 2θ 82.74, d = 1.166 Å, I 6; (2 0 16), 2θ 85.60, d = 1.135 Å, I 5

***

# 6
For Ce3MgRh2, DFT lattice parameters and positions (PBE) gives the computed powder XRD pattern in this record (Cu Kα (λ = 1.5418 Å)).
Neutral-atom scattering factors, no anomalous dispersion.

Structure:
a = 6.5193 Å, b = 13.4307 Å, c = 7.1174 Å
α = 90.00°, β = 90.00°, γ = 90.00°
Space group Ibam (No. 72)
Unique sites:
Ce: 0.0000 0.0000 0.2500 (multiplicity 4)
Ce: 0.0000 0.2804 0.2500 (multiplicity 8)
Mg: 0.0000 0.5000 0.0000 (multiplicity 4)
Rh: 0.2045 0.1368 0.0000 (multiplicity 8)

Principal peaks in the range 2θ = 10–90°, by intensity:
(2 0 2), 2θ 37.41, d = 2.404 Å, I 100; (1 3 2), 2θ 35.03, d = 2.562 Å, I 99; (1 2 1), 2θ 22.75, d = 3.909 Å, I 92; (0 4 2), 2θ 36.80, d = 2.442 Å, I 86; (2 4 0), 2θ 38.49, d = 2.339 Å, I 82; (1 3 0), 2θ 24.12, d = 3.690 Å, I 44; (1 7 0), 2θ 49.55, d = 1.840 Å, I 40; (3 7 2), 2θ 70.64, d = 1.333 Å, I 34; (3 3 0), 2θ 46.45, d = 1.955 Å, I 34; (2 4 4), 2θ 65.97, d = 1.416 Å, I 33

***

Question: Which formula does entry 5 have?
Answer: Tb3Sm12Sc

***

Please write out number 4 again, unchanged.
For TmAl6S8, DFT lattice parameters and positions (PBE) gives the computed powder XRD pattern in this record (Cu Kα (λ = 1.5418 Å)).
Neutral-atom scattering factors, no anomalous dispersion.

Structure:
a = 9.7104 Å, b = 9.7104 Å, c = 10.7075 Å
α = 90.00°, β = 90.00°, γ = 120.00°
Space group R-3 (No. 148, hexagonal axes)
Unique sites:
Tm: 0.0000 0.0000 0.0000 (multiplicity 3)
Al: 0.0600 0.8476 0.6000 (multiplicity 18)
S: 0.0000 0.0000 0.2621 (multiplicity 6)
S: 0.0029 0.7119 0.0850 (multiplicity 18)

Principal peaks in the range 2θ = 10–90°, by intensity:
(3 -1 1), 2θ 29.31, d = 3.047 Å, I 100; (1 0 1), 2θ 13.39, d = 6.614 Å, I 90; (3 0 0), 2θ 31.93, d = 2.803 Å, I 89; (1 1 3), 2θ 31.10, d = 2.876 Å, I 88; (0 1 2), 2θ 19.66, d = 4.516 Å, I 69; (1 1 0), 2θ 18.27, d = 4.855 Å, I 66; (2 1 4), 2θ 44.24, d = 2.047 Å, I 54; (1 2 2), 2θ 32.77, d = 2.733 Å, I 51; (0 2 4), 2θ 39.92, d = 2.258 Å, I 46; (4 -2 3), 2θ 45.17, d = 2.007 Å, I 43